Computed XRD peak list
Compound: Li2Cr3P4O14
Radiation: Cu Kα (λ = 1.5418 Å)
Structure: the PBE+U geometry in the Materials Project

```
data_Li2Cr3P4O14
_space_group_name_H-M_alt 'P 1 21/c 1'
_space_group_IT_number 14
_cell_length_a 7.398
_cell_length_b 8.114
_cell_length_c 9.625
_cell_angle_alpha 90.00
_cell_angle_beta 108.51
_cell_angle_gamma 90.00
loop_
_space_group_symop_operation_xyz
'x,y,z'
'-x,-y,-z'
'-x,y+1/2,-z+1/2'
'x,-y+1/2,z+1/2'
loop_
_atom_site_label
_atom_site_type_symbol
_atom_site_fract_x
_atom_site_fract_y
_atom_site_fract_z
Li1 Li 0.204 0.081 0.143
Cr1 Cr 0.305 0.127 0.481
Cr2 Cr 0.500 0.000 0.000
P1 P 0.097 0.043 0.717
P2 P 0.391 0.710 0.198
O1 O 0.111 0.003 0.306
O2 O 0.124 0.165 0.603
O3 O 0.187 0.635 0.188
O4 O 0.202 0.097 0.874
O5 O 0.353 0.621 0.625
O6 O 0.488 0.593 0.119
O7 O 0.494 0.213 0.136
```

Most intense lines, 2θ from 10° to 80°, in order of rising 2θ:
d 7.016, 12.62°, rel. 67, hkl 1 0 0
d 6.064, 14.61°, rel. 20, hkl 0 1 1
d 5.157, 17.19°, rel. 51, hkl 1 1 -1
d 3.970, 22.39°, rel. 29, hkl 1 1 -2
d 3.368, 26.46°, rel. 34, hkl 1 0 2
d 3.113, 28.67°, rel. 100, hkl 1 2 1
d 3.089, 28.91°, rel. 37, hkl 2 1 -2
d 3.025, 29.53°, rel. 65, hkl 1 2 -2
d 2.792, 32.06°, rel. 23, hkl 2 1 1
d 2.626, 34.14°, rel. 17, hkl 2 1 -3
d 2.592, 34.60°, rel. 33, hkl 0 3 1
d 2.523, 35.58°, rel. 15, hkl 1 3 0

---

Computed XRD peak list
Compound: Li2CrP2O8
Radiation: Cu Kα (λ = 1.5418 Å)
Structure: the PBE+U geometry in the Materials Project

```
data_Li2CrP2O8
_space_group_name_H-M_alt 'C 1 c 1'
_space_group_IT_number 9
_cell_length_a 9.010
_cell_length_b 4.637
_cell_length_c 13.785
_cell_angle_alpha 90.00
_cell_angle_beta 96.33
_cell_angle_gamma 90.00
loop_
_space_group_symop_operation_xyz
'x,y,z'
'x,-y,z+1/2'
'x+1/2,y+1/2,z'
'x+1/2,-y+1/2,z+1/2'
loop_
_atom_site_label
_atom_site_type_symbol
_atom_site_fract_x
_atom_site_fract_y
_atom_site_fract_z
Li1 Li 0.000 0.038 0.000
Li2 Li 0.177 0.433 0.396
Cr1 Cr 0.159 0.496 0.664
P1 P 0.325 0.016 0.049
P2 P 0.499 0.476 0.275
O1 O 0.021 0.126 0.373
O2 O 0.049 0.170 0.191
O3 O 0.100 0.302 0.779
O4 O 0.208 0.269 0.036
O5 O 0.272 0.176 0.632
O6 O 0.334 0.176 0.461
O7 O 0.336 0.375 0.247
O8 O 0.480 0.154 0.081
```

Most intense lines, 2θ from 10° to 80°, in order of rising 2θ:
d 6.850, 12.92°, rel. 91, hkl 0 0 2
d 3.611, 24.65°, rel. 100, hkl 1 1 -2
d 3.572, 24.93°, rel. 52, hkl 2 0 2
d 2.878, 31.08°, rel. 10, hkl 2 0 -4
d 2.701, 33.16°, rel. 24, hkl 1 1 -4
d 2.510, 35.77°, rel. 42, hkl 3 1 0
d 2.430, 37.00°, rel. 9, hkl 3 1 1
d 2.336, 38.53°, rel. 24, hkl 1 1 -5
d 1.726, 53.04°, rel. 10, hkl 2 2 4
d 1.596, 57.76°, rel. 9, hkl 4 2 -2
d 1.586, 58.16°, rel. 10, hkl 5 1 2
d 1.256, 75.75°, rel. 11, hkl 1 3 6

---

Computed XRD peak list
Compound: LiCrP2O7
Radiation: Cu Kα (λ = 1.5418 Å)
Structure: the PBE+U geometry in the Materials Project

```
data_LiCrP2O7
_space_group_name_H-M_alt 'P 1 21/c 1'
_space_group_IT_number 14
_cell_length_a 8.377
_cell_length_b 5.012
_cell_length_c 13.271
_cell_angle_alpha 90.00
_cell_angle_beta 116.11
_cell_angle_gamma 90.00
loop_
_space_group_symop_operation_xyz
'x,y,z'
'-x,-y,-z'
'-x,y+1/2,-z+1/2'
'x,-y+1/2,z+1/2'
loop_
_atom_site_label
_atom_site_type_symbol
_atom_site_fract_x
_atom_site_fract_y
_atom_site_fract_z
Li1 Li 0.077 0.231 0.201
Cr1 Cr 0.231 0.239 0.968
P1 P 0.197 0.734 0.116
P2 P 0.331 0.741 0.358
O1 O 0.027 0.660 0.621
O2 O 0.185 0.067 0.590
O3 O 0.193 0.554 0.861
O4 O 0.251 0.043 0.843
O5 O 0.256 0.604 0.543
O6 O 0.348 0.712 0.742
O7 O 0.486 0.218 0.550
```

Most intense lines, 2θ from 10° to 80°, in order of rising 2θ:
d 5.958, 14.87°, rel. 35, hkl 0 0 2
d 3.893, 22.84°, rel. 100, hkl 1 1 -2
d 3.761, 23.65°, rel. 65, hkl 2 0 0
d 3.172, 28.13°, rel. 10, hkl 2 1 -2
d 2.764, 32.39°, rel. 33, hkl 1 1 -4
d 2.691, 33.30°, rel. 12, hkl 2 0 2
d 2.506, 35.83°, rel. 19, hkl 0 2 0
d 2.439, 36.85°, rel. 10, hkl 3 1 -2
d 2.016, 44.97°, rel. 12, hkl 3 0 2
d 1.822, 50.07°, rel. 11, hkl 4 0 -6
d 1.434, 65.06°, rel. 7, hkl 3 3 -2
d 1.350, 69.65°, rel. 7, hkl 4 2 2

---

Computed XRD peak list
Compound: LiCrPO4
Radiation: Cu Kα (λ = 1.5418 Å)
Structure: the PBE+U geometry in the Materials Project

```
data_LiCrPO4
_space_group_name_H-M_alt 'P n a 21'
_space_group_IT_number 33
_cell_length_a 8.301
_cell_length_b 16.710
_cell_length_c 5.029
_cell_angle_alpha 90.00
_cell_angle_beta 90.00
_cell_angle_gamma 90.00
loop_
_space_group_symop_operation_xyz
'x,y,z'
'-x,-y,z+1/2'
'-x+1/2,y+1/2,z+1/2'
'x+1/2,-y+1/2,z'
loop_
_atom_site_label
_atom_site_type_symbol
_atom_site_fract_x
_atom_site_fract_y
_atom_site_fract_z
Li1 Li 0.031 0.056 0.000
Li2 Li 0.140 0.637 0.525
Cr1 Cr 0.131 0.251 0.582
Cr2 Cr 0.150 0.447 0.536
P1 P 0.228 0.323 0.008
P2 P 0.241 0.066 0.495
O1 O 0.082 0.036 0.377
O2 O 0.087 0.355 0.816
O3 O 0.112 0.857 0.426
O4 O 0.113 0.531 0.833
O5 O 0.176 0.343 0.299
O6 O 0.216 0.231 0.964
O7 O 0.241 0.657 0.956
O8 O 0.243 0.543 0.298
```

Most intense lines, 2θ from 10° to 80°, in order of rising 2θ:
d 7.434, 11.90°, rel. 50, hkl 1 1 0
d 4.816, 18.42°, rel. 33, hkl 0 1 1
d 4.151, 21.41°, rel. 89, hkl 2 0 0
d 4.028, 22.07°, rel. 100, hkl 2 1 0
d 3.732, 23.84°, rel. 48, hkl 1 4 0
d 3.405, 26.18°, rel. 42, hkl 1 3 1
d 3.201, 27.87°, rel. 75, hkl 2 0 1
d 2.784, 32.16°, rel. 98, hkl 0 5 1
d 2.776, 32.25°, rel. 31, hkl 2 3 1
d 2.603, 34.45°, rel. 38, hkl 2 5 0
d 2.515, 35.70°, rel. 32, hkl 0 0 2
d 1.809, 50.46°, rel. 43, hkl 2 5 2

---

Computed XRD peak list
Compound: LiCrP4O12
Radiation: Cu Kα (λ = 1.5418 Å)
Structure: the PBE+U geometry in the Materials Project

```
data_LiCrP4O12
_space_group_name_H-M_alt 'C 1 2/c 1'
_space_group_IT_number 15
_cell_length_a 15.091
_cell_length_b 8.119
_cell_length_c 9.135
_cell_angle_alpha 90.00
_cell_angle_beta 119.24
_cell_angle_gamma 90.00
loop_
_space_group_symop_operation_xyz
'x,y,z'
'-x,-y,-z'
'-x,y,-z+1/2'
'x,-y,z+1/2'
'x+1/2,y+1/2,z'
'-x+1/2,-y+1/2,-z'
'-x+1/2,y+1/2,-z+1/2'
'x+1/2,-y+1/2,z+1/2'
loop_
_atom_site_label
_atom_site_type_symbol
_atom_site_fract_x
_atom_site_fract_y
_atom_site_fract_z
Li1 Li 0.000 0.000 0.000
Cr1 Cr 0.000 0.336 0.250
P1 P 0.141 0.443 0.639
P2 P 0.147 0.198 0.105
O1 O 0.067 0.479 0.700
O2 O 0.093 0.115 0.940
O3 O 0.094 0.182 0.209
O4 O 0.107 0.322 0.497
O5 O 0.175 0.388 0.090
O6 O 0.240 0.376 0.793
```

Most intense lines, 2θ from 10° to 80°, in order of rising 2θ:
d 6.911, 12.81°, rel. 61, hkl 1 1 0
d 6.045, 14.65°, rel. 7, hkl 1 1 -1
d 4.663, 19.03°, rel. 73, hkl 1 1 1
d 4.527, 19.61°, rel. 27, hkl 2 0 -2
d 3.517, 25.32°, rel. 100, hkl 4 0 -2
d 3.292, 27.09°, rel. 12, hkl 4 0 0
d 3.123, 28.58°, rel. 19, hkl 1 1 2
d 2.848, 31.40°, rel. 23, hkl 2 0 2
d 2.829, 31.63°, rel. 9, hkl 3 1 -3
d 2.785, 32.14°, rel. 9, hkl 5 1 -2
d 2.758, 32.46°, rel. 15, hkl 4 2 -1
d 2.318, 38.85°, rel. 9, hkl 3 1 2

---

Computed XRD peak list
Compound: LiCrPO4
Radiation: Cu Kα (λ = 1.5418 Å)
Structure: the PBE+U geometry in the Materials Project

```
data_LiCrPO4
_space_group_name_H-M_alt 'P -1'
_space_group_IT_number 2
_cell_length_a 5.602
_cell_length_b 6.311
_cell_length_c 9.352
_cell_angle_alpha 75.91
_cell_angle_beta 83.07
_cell_angle_gamma 76.67
loop_
_space_group_symop_operation_xyz
'x,y,z'
'-x,-y,-z'
loop_
_atom_site_label
_atom_site_type_symbol
_atom_site_fract_x
_atom_site_fract_y
_atom_site_fract_z
Li1 Li 0.146 0.494 0.243
Li2 Li 0.308 0.654 0.570
Cr1 Cr 0.190 0.850 0.895
Cr2 Cr 0.314 0.970 0.274
P1 P 0.184 0.183 0.570
P2 P 0.308 0.306 0.947
O1 O 0.086 0.729 0.370
O2 O 0.116 0.167 0.931
O3 O 0.165 0.188 0.405
O4 O 0.203 0.545 0.862
O5 O 0.280 0.939 0.661
O6 O 0.335 0.285 0.114
O7 O 0.367 0.325 0.584
O8 O 0.430 0.785 0.118
```

Most intense lines, 2θ from 10° to 80°, in order of rising 2θ:
d 5.986, 14.80°, rel. 76, hkl 0 1 0
d 4.073, 21.82°, rel. 35, hkl 0 1 2
d 3.723, 23.90°, rel. 17, hkl 1 1 -1
d 3.601, 24.72°, rel. 19, hkl 1 0 2
d 2.978, 30.01°, rel. 17, hkl 0 1 3
d 2.800, 31.96°, rel. 28, hkl 0 2 2
d 2.728, 32.83°, rel. 31, hkl 1 -1 2
d 2.716, 32.97°, rel. 100, hkl 2 1 1
d 2.568, 34.94°, rel. 56, hkl 1 0 -3
d 2.262, 39.85°, rel. 21, hkl 0 0 4
d 1.758, 52.00°, rel. 13, hkl 1 -3 0
d 1.744, 52.45°, rel. 24, hkl 2 3 3

---

Computed XRD peak list
Compound: LiCrPO4
Radiation: Cu Kα (λ = 1.5418 Å)
Structure: the PBE+U geometry in the Materials Project

```
data_LiCrPO4
_space_group_name_H-M_alt 'P n m a'
_space_group_IT_number 62
_cell_length_a 9.225
_cell_length_b 6.481
_cell_length_c 5.087
_cell_angle_alpha 90.00
_cell_angle_beta 90.00
_cell_angle_gamma 90.00
loop_
_space_group_symop_operation_xyz
'x,y,z'
'-x,-y,-z'
'-x+1/2,-y,z+1/2'
'x+1/2,y,-z+1/2'
'x+1/2,-y+1/2,-z+1/2'
'-x+1/2,y+1/2,z+1/2'
'-x,y+1/2,-z'
'x,-y+1/2,z'
loop_
_atom_site_label
_atom_site_type_symbol
_atom_site_fract_x
_atom_site_fract_y
_atom_site_fract_z
Li1 Li 0.166 0.250 0.043
Cr1 Cr 0.000 0.000 0.500
P1 P 0.183 0.750 0.039
O1 O 0.123 0.553 0.171
O2 O 0.146 0.250 0.592
O3 O 0.148 0.750 0.743
```

Most intense lines, 2θ from 10° to 80°, in order of rising 2θ:
d 4.455, 19.93°, rel. 69, hkl 1 0 1
d 3.758, 23.67°, rel. 32, hkl 2 1 0
d 3.671, 24.24°, rel. 97, hkl 1 1 1
d 2.652, 33.80°, rel. 100, hkl 2 2 0
d 2.632, 34.07°, rel. 92, hkl 3 0 1
d 2.621, 34.22°, rel. 65, hkl 1 2 1
d 2.452, 36.65°, rel. 24, hkl 1 0 2
d 2.351, 38.28°, rel. 30, hkl 2 2 1
d 1.836, 49.67°, rel. 41, hkl 2 2 2
d 1.620, 56.82°, rel. 22, hkl 0 4 0
d 1.529, 60.55°, rel. 36, hkl 5 2 1
d 1.483, 62.63°, rel. 33, hkl 1 2 3